For LiNbWO6, a GGA+U-relaxed structure gives the calculated X-ray powder pattern in this record (Cu Kα, 1.54184 Å).
Peak positions follow from Bragg's law for the DFT cell and can differ from measured ones.

Most intense lines, 10° ≤ 2θ ≤ 80°, low angle first:
d [Å], Position (°2θ), intensity, hkl
4.333, 20.50, 12, 1 0 1
3.807, 23.37, 100, 0 1 2
2.753, 32.52, 34, 1 0 4
2.635, 34.03, 25, 1 1 0
2.166, 41.69, 13, 2 0 2
1.903, 47.78, 18, 0 2 4
1.733, 52.82, 24, 2 -1 6
1.673, 54.86, 17, 3 -2 2
1.543, 59.95, 13, 3 -1 4
1.521, 60.90, 9, 3 0 0

Cell lengths 5.2694, 5.2694, 13.8070 Å; angles 90.00, 90.00, 120.00 degrees
Space group R3 (No. 146, hexagonal axes)
One atom of each set of equivalent atoms:
Li: 0.0000 0.0000 0.0000 (multiplicity 3)
Nb: 0.0000 0.0000 0.2819 (multiplicity 3)
W: 0.0000 0.0000 0.7824 (multiplicity 3)
O: 0.0136 0.4226 0.5462 (multiplicity 9)
O: 0.0518 0.7111 0.3798 (multiplicity 9)